For KFeBP2HO9, DFT lattice parameters and positions (PBE+U) gives the theoretical PXRD pattern in this record (λ = 1.5418 Å (Cu Kα)).
Neutral-atom scattering factors, no anomalous dispersion.

Structure:
Lattice parameters (Å, degrees): 5.228 8.240 8.434 86.88 80.40 86.51
Space group P-1 (No. 2)
Symmetry-distinct sites (fractional):
K: 0.224 0.328 0.114 x2
Fe: 0.230 0.806 0.193 x2
B: 0.377 0.732 0.555 x2
P: 0.284 0.938 0.812 x2
P: 0.301 0.417 0.698 x2
H: 0.034 0.838 0.497 x2
O: 0.014 0.996 0.773 x2
O: 0.052 0.354 0.795 x2
O: 0.208 0.805 0.443 x2
O: 0.232 0.600 0.654 x2
O: 0.249 0.808 0.953 x2
O: 0.374 0.327 0.537 x2
O: 0.443 0.077 0.845 x2
O: 0.445 0.850 0.663 x2
O: 0.472 0.596 0.206 x2

Peak list (10 most intense, 10 to 90 degrees two-theta, sorted by position)
2θ/deg	d_spacing	I/Imax
14.82	5.978	100.0
19.87	4.469	37.7
21.39	4.154	88.1
25.25	3.528	39.7
27.05	3.296	78.9
27.67	3.224	76.9
28.26	3.158	40.2
28.50	3.131	83.4
31.18	2.869	48.2
33.69	2.661	42.0